[1]
Theoretical PXRD pattern of GePbN2 for Cu Kα (λ = 1.5418 Å), from a cell relaxed with GGA-PBE.
Kinematic intensities with the Lorentz-polarization factor, no thermal factor.

Peak list (6 most intense, 2θ from 15° to 90°, low angle first)
two_theta  Rel. int.
19.65  370
30.54  393
30.92  1000
34.51  276
36.58  221
54.52  212

Structural model:
abc: 6.1137 6.1137 9.0363
angles: 90.00 90.00 122.80
Element x y z (fractional)
Ge (0.0343, 0.9657, 0.8569)
Ge (0.4657, 0.5343, 0.3569)
Ge (0.5343, 0.4657, 0.6431)
Ge (0.9657, 0.0343, 0.1431)
Pb (0.1640, 0.8360, 0.5392)
Pb (0.3360, 0.6640, 0.0392)
Pb (0.6640, 0.3360, 0.9608)
Pb (0.8360, 0.1640, 0.4608)
N (0.1194, 0.8806, 0.0434)
N (0.1544, 0.3456, 0.2500)
N (0.3456, 0.1544, 0.7500)
N (0.3806, 0.6194, 0.5434)
N (0.6194, 0.3806, 0.4566)
N (0.6544, 0.8456, 0.2500)
N (0.8456, 0.6544, 0.7500)
N (0.8806, 0.1194, 0.9566)

***

[2]
Theoretical PXRD pattern of Ge2Pb5N6 for Cu Kα (λ = 1.5418 Å), from a cell relaxed with GGA-PBE.
Kinematic intensities with the Lorentz-polarization factor, no thermal factor.

Peak list (6 most intense, 2θ from 15° to 90°, low angle first)
two_theta  Rel. int.
27.52  1000
28.17  442
31.01  760
32.23  501
32.73  577
50.95  413

Structural model:
abc: 5.9686 5.9686 14.6209
angles: 95.02 95.02 74.72
Element x y z (fractional)
Ge (0.0611, 0.4090, 0.4125)
Ge (0.4090, 0.0611, 0.9125)
Ge (0.5910, 0.9389, 0.0875)
Ge (0.9389, 0.5910, 0.5875)
Pb (0.0962, 0.1765, 0.1885)
Pb (0.1765, 0.0962, 0.6885)
Pb (0.2077, 0.6566, 0.0295)
Pb (0.3434, 0.7923, 0.4705)
Pb (0.4719, 0.5281, 0.2500)
Pb (0.5281, 0.4719, 0.7500)
Pb (0.6566, 0.2077, 0.5295)
Pb (0.7923, 0.3434, 0.9705)
Pb (0.8235, 0.9038, 0.3115)
Pb (0.9038, 0.8235, 0.8115)
N (0.0869, 0.1282, 0.3479)
N (0.1282, 0.0869, 0.8479)
N (0.1654, 0.6146, 0.3439)
N (0.2297, 0.4498, 0.5301)
N (0.3854, 0.8346, 0.1561)
N (0.4498, 0.2297, 0.0301)
N (0.5502, 0.7703, 0.9699)
N (0.6146, 0.1654, 0.8439)
N (0.7703, 0.5502, 0.4699)
N (0.8346, 0.3854, 0.6561)
N (0.8718, 0.9131, 0.1521)
N (0.9131, 0.8718, 0.6521)

***

[3]
Theoretical PXRD pattern of Ge2SN2 for Cu Kα (λ = 1.5418 Å), from a cell relaxed with GGA-PBE.
Kinematic intensities with the Lorentz-polarization factor, no thermal factor.

Peak list (6 most intense, 2θ from 15° to 90°, low angle first)
two_theta  Rel. int.
21.91  428
23.93  731
25.67  477
29.46  1000
34.41  403
40.81  386

Structural model:
abc: 6.4117 6.4117 4.6508
angles: 98.96 98.96 78.52
Element x y z (fractional)
Ge (0.0286, 0.5963, 0.3000)
Ge (0.1572, 0.8428, 0.0000)
Ge (0.5963, 0.0286, 0.3000)
Ge (0.8428, 0.1572, 0.0000)
S (0.4761, 0.4761, 0.7817)
S (0.7392, 0.7392, 0.5517)
N (0.2396, 0.5782, 0.6618)
N (0.3791, 0.9718, 0.0397)
N (0.5782, 0.2396, 0.6618)
N (0.9718, 0.3791, 0.0397)

***

[4]
Theoretical PXRD pattern of Ge2SeN2 for Cu Kα (λ = 1.5418 Å), from a cell relaxed with GGA-PBE.
Kinematic intensities with the Lorentz-polarization factor, no thermal factor.

Peak list (6 most intense, 2θ from 15° to 90°, low angle first)
two_theta  Rel. int.
24.17  1000
28.14  387
33.12  384
38.56  271
46.53  325
61.09  319

Structural model:
abc: 6.3648 6.3648 5.1832
angles: 90.00 90.00 55.26
Element x y z (fractional)
Ge (0.0340, 0.3338, 0.0000)
Ge (0.3338, 0.0340, 0.5000)
Ge (0.6662, 0.9660, 0.0000)
Ge (0.9660, 0.6662, 0.5000)
Se (0.2898, 0.7102, 0.3403)
Se (0.7102, 0.2898, 0.8403)
N (0.0906, 0.3467, 0.3475)
N (0.3467, 0.0906, 0.8475)
N (0.6533, 0.9094, 0.3475)
N (0.9094, 0.6533, 0.8475)

***

[5]
Theoretical PXRD pattern of Si7GeN10 for Cu Kα (λ = 1.5418 Å), from a cell relaxed with GGA-PBE.
Kinematic intensities with the Lorentz-polarization factor, no thermal factor.

Peak list (6 most intense, 2θ from 15° to 90°, low angle first)
two_theta  Rel. int.
18.70  606
19.18  581
26.41  945
29.98  786
31.55  639
39.64  1000

Structural model:
abc: 6.9613 6.7501 9.7779
angles: 90.00 106.51 90.00
Element x y z (fractional)
Si (0.0000, 0.0269, 0.0000)
Si (0.0000, 0.9731, 0.5000)
Si (0.1200, 0.3688, 0.6635)
Si (0.1200, 0.6312, 0.1635)
Si (0.2998, 0.3791, 0.9759)
Si (0.2998, 0.6209, 0.4759)
Si (0.5573, 0.4072, 0.7476)
Si (0.5573, 0.5928, 0.2476)
Si (0.7482, 0.3861, 0.0551)
Si (0.7482, 0.6139, 0.5551)
Si (0.8167, 0.0324, 0.6887)
Si (0.8167, 0.9676, 0.1887)
Si (0.9373, 0.3733, 0.3598)
Si (0.9373, 0.6267, 0.8598)
Ge (0.5544, 0.0196, 0.3544)
Ge (0.5544, 0.9804, 0.8544)
N (0.0118, 0.1385, 0.6404)
N (0.0118, 0.8615, 0.1404)
N (0.1539, 0.4143, 0.4958)
N (0.1539, 0.5857, 0.9958)
N (0.1844, 0.1681, 0.9905)
N (0.1844, 0.8319, 0.4905)
N (0.3396, 0.3889, 0.8019)
N (0.3396, 0.6111, 0.3019)
N (0.5312, 0.4295, 0.1040)
N (0.5312, 0.5705, 0.6040)
N (0.6247, 0.1667, 0.7171)
N (0.6247, 0.8333, 0.2171)
N (0.7402, 0.4994, 0.3964)
N (0.7402, 0.5006, 0.8964)
N (0.7699, 0.1277, 0.0356)
N (0.7699, 0.8723, 0.5356)
N (0.8769, 0.1166, 0.3435)
N (0.8769, 0.8834, 0.8435)
N (0.9496, 0.4602, 0.1957)
N (0.9496, 0.5398, 0.6957)

***

[6]
Theoretical PXRD pattern of SiGe2N4 for Cu Kα (λ = 1.5418 Å), from a cell relaxed with GGA-PBE.
Kinematic intensities with the Lorentz-polarization factor, no thermal factor.

Peak list (6 most intense, 2θ from 15° to 90°, low angle first)
two_theta  Rel. int.
18.87  615
36.59  1000
38.28  316
44.49  467
58.92  336
64.74  485

Structural model:
abc: 5.7594 5.7594 5.7594
angles: 60.00 60.00 60.00
Element x y z (fractional)
Si (0.1250, 0.1250, 0.1250)
Si (0.8750, 0.8750, 0.8750)
Ge (0.0000, 0.5000, 0.5000)
Ge (0.5000, 0.0000, 0.5000)
Ge (0.5000, 0.5000, 0.0000)
Ge (0.5000, 0.5000, 0.5000)
N (0.2533, 0.2533, 0.2533)
N (0.2533, 0.2533, 0.7400)
N (0.2533, 0.7400, 0.2533)
N (0.2600, 0.7467, 0.7467)
N (0.7400, 0.2533, 0.2533)
N (0.7467, 0.2600, 0.7467)
N (0.7467, 0.7467, 0.2600)
N (0.7467, 0.7467, 0.7467)

***

[7]
Theoretical PXRD pattern of Sn7GeN6 for Cu Kα (λ = 1.5418 Å), from a cell relaxed with GGA-PBE.
Kinematic intensities with the Lorentz-polarization factor, no thermal factor.

Peak list (6 most intense, 2θ from 15° to 90°, low angle first)
two_theta  Rel. int.
28.80  653
29.36  185
30.24  585
32.75  1000
36.68  288
53.59  186

Structural model:
abc: 12.4005 7.0196 12.1896
angles: 90.00 90.00 90.00
Element x y z (fractional)
Sn (0.0000, 0.0774, 0.2500)
Sn (0.0000, 0.9226, 0.7500)
Sn (0.0018, 0.2657, 0.0318)
Sn (0.0018, 0.7343, 0.5318)
Sn (0.2148, 0.3040, 0.6267)
Sn (0.2148, 0.6960, 0.1267)
Sn (0.2448, 0.4611, 0.3577)
Sn (0.2448, 0.5389, 0.8577)
Sn (0.2552, 0.0389, 0.8577)
Sn (0.2552, 0.9611, 0.3577)
Sn (0.2852, 0.1960, 0.1267)
Sn (0.2852, 0.8040, 0.6267)
Sn (0.4982, 0.2343, 0.5318)
Sn (0.4982, 0.7657, 0.0318)
Sn (0.5000, 0.4226, 0.7500)
Sn (0.5000, 0.5774, 0.2500)
Sn (0.5018, 0.2343, 0.9682)
Sn (0.5018, 0.7657, 0.4682)
Sn (0.7148, 0.1960, 0.3733)
Sn (0.7148, 0.8040, 0.8733)
Sn (0.7448, 0.0389, 0.6423)
Sn (0.7448, 0.9611, 0.1423)
Sn (0.7552, 0.4611, 0.1423)
Sn (0.7552, 0.5389, 0.6423)
Sn (0.7852, 0.3040, 0.8733)
Sn (0.7852, 0.6960, 0.3733)
Sn (0.9982, 0.2657, 0.4682)
Sn (0.9982, 0.7343, 0.9682)
Ge (0.0000, 0.3440, 0.7500)
Ge (0.0000, 0.6560, 0.2500)
Ge (0.5000, 0.1560, 0.2500)
Ge (0.5000, 0.8440, 0.7500)
N (0.0395, 0.4511, 0.6140)
N (0.0395, 0.5489, 0.1140)
N (0.1128, 0.1564, 0.7597)
N (0.1128, 0.8436, 0.2597)
N (0.1783, 0.2115, 0.4575)
N (0.1783, 0.7885, 0.9575)
N (0.3217, 0.2885, 0.9575)
N (0.3217, 0.7115, 0.4575)
N (0.3872, 0.3436, 0.2597)
N (0.3872, 0.6564, 0.7597)
N (0.4605, 0.0489, 0.1140)
N (0.4605, 0.9511, 0.6140)
N (0.5395, 0.0489, 0.3860)
N (0.5395, 0.9511, 0.8860)
N (0.6128, 0.3436, 0.2403)
N (0.6128, 0.6564, 0.7403)
N (0.6783, 0.2885, 0.5425)
N (0.6783, 0.7115, 0.0425)
N (0.8217, 0.2115, 0.0425)
N (0.8217, 0.7885, 0.5425)
N (0.8872, 0.1564, 0.7403)
N (0.8872, 0.8436, 0.2403)
N (0.9605, 0.4511, 0.8860)
N (0.9605, 0.5489, 0.3860)